Diffraction record for Cs2RbSe4. The PXRD pattern is computed, not measured: it uses a cell relaxed with GGA-PBE and copper Kα.
Intensities are scaled so that the largest is 1000.

Main lines, most intense first (10 to 90 degrees two-theta):
Position (°2θ), Rel. int., hkl
25.31, 1000, 2 0 0
25.91, 941, 0 0 2
36.54, 751, 2 0 2
23.07, 645, 1 3 0
37.30, 553, 1 5 1
12.85, 552, 0 0 1
49.74, 450, 1 7 1
34.97, 436, 1 3 2
18.20, 341, 0 2 1
28.93, 312, 0 4 1

```
Cs2RbSe4
1.0
7.0390 0.0000 0.0000
0.0000 13.8271 0.0000
0.0000 0.0000 6.8762
Cs Rb Se
4 2 8
Cartesian
0.0000 2.1484 0.0000
0.0000 11.6787 0.0000
3.5195 4.7651 0.0000
3.5195 9.0619 0.0000
0.0000 6.9135 3.4381
3.5195 0.0000 3.4381
0.0000 1.1710 3.4381
0.0000 5.7285 0.0000
0.0000 8.0986 0.0000
0.0000 12.6561 3.4381
3.5195 1.1850 0.0000
3.5195 5.7425 3.4381
3.5195 8.0846 3.4381
3.5195 12.6421 0.0000
```